# 1
Starting from a crystal structure in Alexandria, relaxed with GGA-PBE, the powder diffraction line list of AcCePaN4 was computed for Cu Kα (λ = 1.5418 Å).
No peak broadening, texture or thermal motion is included.

a b c (Å): 7.1915 7.1915 6.2303
angles (deg): 90.00 90.00 129.12
Positions (direct):
Ac: 0.1041 0.8959 0.7500
Ac: 0.8959 0.1041 0.2500
Ce: 0.3988 0.6012 0.7500
Ce: 0.6012 0.3988 0.2500
Pa: 0.2506 0.7494 0.2500
Pa: 0.7494 0.2506 0.7500
N: 0.0000 0.5000 0.0000
N: 0.0000 0.5000 0.5000
N: 0.0795 0.9205 0.2500
N: 0.4437 0.5563 0.2500
N: 0.5000 0.0000 0.0000
N: 0.5000 0.0000 0.5000
N: 0.5563 0.4437 0.7500
N: 0.9205 0.0795 0.7500

Peak list (12 most intense, 2θ = 10–80°, by angle)
| d (Å) | 2θ (°) | Rel. int. |
| --- | --- | --- |
| 6.494 | 13.64 | 7 |
| 3.115 | 28.66 | 24 |
| 3.083 | 28.96 | 100 |
| 2.235 | 40.35 | 9 |
| 2.194 | 41.15 | 22 |
| 2.165 | 41.73 | 7 |
| 1.792 | 50.96 | 17 |
| 1.782 | 51.26 | 17 |
| 1.778 | 51.40 | 7 |
| 1.773 | 51.55 | 7 |
| 1.541 | 60.05 | 10 |
| 1.385 | 67.65 | 12 |



# 2
Starting from a crystal structure in Alexandria, relaxed with GGA-PBE, the powder diffraction line list of SmZn3Rh4 was computed for Cu Kα (λ = 1.5418 Å).
No peak broadening, texture or thermal motion is included.

a b c (Å): 7.7966 7.7966 7.7966
angles (deg): 32.97 32.97 32.97
Positions (direct):
Sm: 0.0000 0.0000 0.0000
Zn: 0.2468 0.2468 0.2468
Zn: 0.5000 0.5000 0.5000
Zn: 0.7532 0.7532 0.7532
Rh: 0.1295 0.1295 0.1295
Rh: 0.3838 0.3838 0.3838
Rh: 0.6162 0.6162 0.6162
Rh: 0.8705 0.8705 0.8705

Peak list (12 most intense, 2θ = 10–80°, by angle)
| d (Å) | 2θ (°) | Rel. int. |
| --- | --- | --- |
| 3.775 | 23.57 | 3 |
| 3.620 | 24.59 | 5 |
| 2.895 | 30.89 | 8 |
| 2.436 | 36.89 | 5 |
| 2.241 | 40.25 | 97 |
| 2.212 | 40.79 | 100 |
| 1.574 | 58.64 | 31 |
| 1.554 | 59.49 | 3 |
| 1.299 | 72.79 | 13 |
| 1.283 | 73.89 | 31 |
| 1.277 | 74.26 | 16 |
| 1.226 | 77.91 | 3 |



# 3
Starting from a crystal structure in Alexandria, relaxed with GGA-PBE, the powder diffraction line list of YGa8Tc2 was computed for Cu Kα (λ = 1.5418 Å).
No peak broadening, texture or thermal motion is included.

a b c (Å): 6.7621 6.7621 4.8508
angles (deg): 98.60 98.60 99.10
Positions (direct):
Y: 0.0000 0.0000 0.0000
Ga: 0.0975 0.3556 0.6033
Ga: 0.2958 0.7042 0.0000
Ga: 0.3556 0.0975 0.6033
Ga: 0.3815 0.3815 0.2575
Ga: 0.6185 0.6185 0.7425
Ga: 0.6444 0.9025 0.3967
Ga: 0.7042 0.2958 0.0000
Ga: 0.9025 0.6444 0.3967
Tc: 0.2801 0.7199 0.5000
Tc: 0.7199 0.2801 0.5000

Peak list (12 most intense, 2θ = 10–80°, by angle)
| d (Å) | 2θ (°) | Rel. int. |
| --- | --- | --- |
| 4.720 | 18.80 | 45 |
| 3.286 | 27.14 | 33 |
| 2.856 | 31.32 | 63 |
| 2.751 | 32.55 | 70 |
| 2.640 | 33.96 | 70 |
| 2.497 | 35.97 | 34 |
| 2.359 | 38.15 | 58 |
| 2.204 | 40.96 | 100 |
| 2.190 | 41.21 | 70 |
| 2.145 | 42.12 | 37 |
| 2.135 | 42.34 | 39 |
| 1.822 | 50.05 | 63 |



# 4
Starting from a crystal structure in Alexandria, relaxed with GGA-PBE, the powder diffraction line list of Ba2Cu4Te4Cl4O11 was computed for Cu Kα (λ = 1.5418 Å).
No peak broadening, texture or thermal motion is included.

a b c (Å): 9.3970 9.4076 12.4695
angles (deg): 111.07 98.59 108.18
Positions (direct):
Ba: 0.0192 0.2804 0.0515
Ba: 0.4778 0.2153 0.9422
Ba: 0.5222 0.7847 0.0578
Ba: 0.9808 0.7196 0.9485
Cu: 0.1862 0.3997 0.8314
Cu: 0.2282 0.0823 0.5116
Cu: 0.3116 0.4442 0.4786
Cu: 0.3157 0.1017 0.1701
Cu: 0.6843 0.8983 0.8299
Cu: 0.6884 0.5558 0.5214
Cu: 0.7718 0.9177 0.4884
Cu: 0.8138 0.6003 0.1686
Te: 0.0239 0.9739 0.7436
Te: 0.2200 0.7786 0.2565
Te: 0.2696 0.7428 0.7617
Te: 0.4509 0.5252 0.2355
Te: 0.5491 0.4748 0.7645
Te: 0.7304 0.2572 0.2383
Te: 0.7800 0.2214 0.7435
Te: 0.9761 0.0261 0.2564
Cl: 0.1326 0.4660 0.3466
Cl: 0.1676 0.3113 0.5775
Cl: 0.3681 0.0380 0.6435
Cl: 0.4709 0.3000 0.4155
Cl: 0.5291 0.7000 0.5845
Cl: 0.6319 0.9620 0.3565
Cl: 0.8324 0.6887 0.4225
Cl: 0.8674 0.5340 0.6534
O: 0.0222 0.6183 0.1453
O: 0.0886 0.0554 0.1456
O: 0.1276 0.9494 0.3355
O: 0.1649 0.1948 0.8513
O: 0.1921 0.9053 0.8445
O: 0.2274 0.6340 0.8625
O: 0.2786 0.8718 0.1490
O: 0.3098 0.5906 0.1537
O: 0.3309 0.2962 0.1341
O: 0.4154 0.4509 0.8627
O: 0.4785 0.8838 0.8602
O: 0.5215 0.1162 0.1398
O: 0.5846 0.5491 0.1373
O: 0.6691 0.7038 0.8659
O: 0.6902 0.4094 0.8463
O: 0.7214 0.1282 0.8510
O: 0.7726 0.3660 0.1375
O: 0.8079 0.0947 0.1555
O: 0.8351 0.8052 0.1487
O: 0.8724 0.0506 0.6645
O: 0.9114 0.9446 0.8544
O: 0.9778 0.3817 0.8547

Peak list (12 most intense, 2θ = 10–80°, by angle)
| d (Å) | 2θ (°) | Rel. int. |
| --- | --- | --- |
| 5.559 | 15.94 | 26 |
| 4.450 | 19.95 | 19 |
| 3.351 | 26.60 | 42 |
| 3.111 | 28.70 | 22 |
| 3.091 | 28.89 | 100 |
| 3.062 | 29.16 | 57 |
| 2.930 | 30.51 | 29 |
| 2.915 | 30.67 | 42 |
| 2.901 | 30.82 | 38 |
| 2.864 | 31.23 | 56 |
| 2.757 | 32.47 | 67 |
| 1.903 | 47.79 | 28 |



# 5
Starting from a crystal structure in Alexandria, relaxed with GGA-PBE, the powder diffraction line list of UCuSb3 was computed for Cu Kα (λ = 1.5418 Å).
No peak broadening, texture or thermal motion is included.

a b c (Å): 12.5379 6.1992 6.0754
angles (deg): 90.00 90.00 90.00
Positions (direct):
U: 0.1940 0.0026 0.2500
U: 0.1940 0.4974 0.7500
U: 0.8060 0.5026 0.2500
U: 0.8060 0.9974 0.7500
Cu: 0.3922 0.7500 0.0000
Cu: 0.3922 0.7500 0.5000
Cu: 0.6078 0.2500 0.0000
Cu: 0.6078 0.2500 0.5000
Sb: 0.0010 0.7500 0.0000
Sb: 0.0010 0.7500 0.5000
Sb: 0.2499 0.5019 0.2500
Sb: 0.2499 0.9981 0.7500
Sb: 0.4391 0.1025 0.2500
Sb: 0.4391 0.3975 0.7500
Sb: 0.5609 0.6025 0.2500
Sb: 0.5609 0.8975 0.7500
Sb: 0.7501 0.0019 0.2500
Sb: 0.7501 0.4981 0.7500
Sb: 0.9990 0.2500 0.0000
Sb: 0.9990 0.2500 0.5000

Peak list (12 most intense, 2θ = 10–80°, by angle)
| d (Å) | 2θ (°) | Rel. int. |
| --- | --- | --- |
| 4.100 | 21.67 | 50 |
| 3.038 | 29.40 | 29 |
| 2.779 | 32.22 | 98 |
| 2.734 | 32.76 | 67 |
| 2.541 | 35.33 | 96 |
| 2.506 | 35.83 | 58 |
| 2.490 | 36.08 | 58 |
| 2.457 | 36.57 | 68 |
| 2.170 | 41.63 | 100 |
| 1.656 | 55.50 | 30 |
| 1.641 | 56.06 | 70 |
| 1.348 | 69.75 | 33 |



# 6
Starting from a crystal structure in Alexandria, relaxed with GGA-PBE, the powder diffraction line list of Sm3Co was computed for Cu Kα (λ = 1.5418 Å).
No peak broadening, texture or thermal motion is included.

a b c (Å): 8.8098 8.8098 6.2881
angles (deg): 110.89 110.89 82.67
Positions (direct):
Sm: 0.0000 0.0000 0.0000
Sm: 0.9998 0.2805 0.6403
Sm: 0.1681 0.6401 0.1577
Sm: 0.3595 0.0413 0.5121
Sm: 0.3595 0.2393 0.1113
Sm: 0.3597 0.4488 0.6514
Sm: 0.3599 0.8319 0.8424
Sm: 0.5512 0.6403 0.3486
Sm: 0.7195 0.2805 0.0000
Sm: 0.7195 0.0002 0.3597
Sm: 0.7607 0.6405 0.8887
Sm: 0.9587 0.6405 0.4879
Co: 0.0642 0.9358 0.5000
Co: 0.0646 0.3451 0.2052
Co: 0.6545 0.3455 0.5000
Co: 0.6549 0.9354 0.7948

Peak list (12 most intense, 2θ = 10–80°, by angle)
| d (Å) | 2θ (°) | Rel. int. |
| --- | --- | --- |
| 3.302 | 27.00 | 35 |
| 2.937 | 30.43 | 87 |
| 2.872 | 31.14 | 94 |
| 2.744 | 32.64 | 49 |
| 2.603 | 34.46 | 33 |
| 2.575 | 34.83 | 100 |
| 2.498 | 35.95 | 28 |
| 2.391 | 37.62 | 19 |
| 1.831 | 49.81 | 20 |
| 1.758 | 52.02 | 30 |
| 1.646 | 55.85 | 21 |
| 1.550 | 59.67 | 19 |



# 7
Starting from a crystal structure in Alexandria, relaxed with GGA-PBE, the powder diffraction line list of Rb3Sn2I7 was computed for Cu Kα (λ = 1.5418 Å).
No peak broadening, texture or thermal motion is included.

a b c (Å): 16.0709 16.0709 16.0709
angles (deg): 157.55 157.55 31.95
Positions (direct):
Rb: 0.0000 0.0000 0.0000
Rb: 0.1777 0.1777 0.0000
Rb: 0.8223 0.8223 0.0000
Sn: 0.3960 0.3960 0.0000
Sn: 0.6040 0.6040 0.0000
I: 0.0993 0.5993 0.5000
I: 0.2962 0.2962 0.0000
I: 0.4007 0.9007 0.5000
I: 0.5000 0.5000 0.0000
I: 0.5993 0.0993 0.5000
I: 0.7038 0.7038 0.0000
I: 0.9007 0.4007 0.5000

Peak list (12 most intense, 2θ = 10–80°, by angle)
| d (Å) | 2θ (°) | Rel. int. |
| --- | --- | --- |
| 7.725 | 11.45 | 25 |
| 6.131 | 14.45 | 27 |
| 3.839 | 23.17 | 38 |
| 3.356 | 26.56 | 54 |
| 3.128 | 28.54 | 100 |
| 3.090 | 28.89 | 38 |
| 3.010 | 29.68 | 27 |
| 2.212 | 40.80 | 40 |
| 2.198 | 41.06 | 58 |
| 2.169 | 41.64 | 21 |
| 1.799 | 50.76 | 31 |
| 1.274 | 74.45 | 20 |



# 8
Starting from a crystal structure in Alexandria, relaxed with GGA-PBE, the powder diffraction line list of NaPAu2S4 was computed for Cu Kα (λ = 1.5418 Å).
No peak broadening, texture or thermal motion is included.

a b c (Å): 6.6220 6.6220 6.6220
angles (deg): 124.70 116.20 89.38
Positions (direct):
Na: 0.0000 0.0000 0.0000
P: 0.5000 0.0000 0.5000
Au: 0.2878 0.5000 0.7879
Au: 0.7121 0.5000 0.2122
S: 0.1910 0.0480 0.5102
S: 0.4622 0.9520 0.1431
S: 0.5378 0.6809 0.4898
S: 0.8089 0.3191 0.8569

Peak list (12 most intense, 2θ = 10–80°, by angle)
| d (Å) | 2θ (°) | Rel. int. |
| --- | --- | --- |
| 5.617 | 15.78 | 31 |
| 5.146 | 17.23 | 100 |
| 4.708 | 18.85 | 89 |
| 3.499 | 25.45 | 33 |
| 2.894 | 30.90 | 90 |
| 2.795 | 32.02 | 39 |
| 2.573 | 34.87 | 45 |
| 2.184 | 41.35 | 56 |
| 2.073 | 43.66 | 22 |
| 1.869 | 48.73 | 23 |
| 1.738 | 52.68 | 26 |
| 1.600 | 57.60 | 38 |



# 9
Starting from a crystal structure in Alexandria, relaxed with GGA-PBE, the powder diffraction line list of KPuAsO6 was computed for Cu Kα (λ = 1.5418 Å).
No peak broadening, texture or thermal motion is included.

a b c (Å): 5.3291 5.3291 6.0008
angles (deg): 90.00 90.00 120.00
Positions (direct):
K: 0.0000 0.0000 0.0000
Pu: 0.3333 0.6667 0.5000
As: 0.6667 0.3333 0.5000
O: 0.3898 0.0282 0.6780
O: 0.3898 0.3615 0.3220
O: 0.6385 0.0282 0.3220
O: 0.6385 0.6102 0.6780
O: 0.9718 0.3615 0.6780
O: 0.9718 0.6102 0.3220

Peak list (12 most intense, 2θ = 10–80°, by angle)
| d (Å) | 2θ (°) | Rel. int. |
| --- | --- | --- |
| 6.001 | 14.76 | 91 |
| 4.615 | 19.23 | 46 |
| 3.658 | 24.33 | 100 |
| 3.000 | 29.78 | 14 |
| 2.665 | 33.64 | 35 |
| 2.516 | 35.69 | 20 |
| 2.435 | 36.91 | 40 |
| 2.154 | 41.95 | 22 |
| 1.992 | 45.53 | 47 |
| 1.835 | 49.68 | 14 |
| 1.675 | 54.81 | 22 |
| 1.600 | 57.62 | 16 |



# 10
Starting from a crystal structure in Alexandria, relaxed with GGA-PBE, the powder diffraction line list of Ce4Sn was computed for Cu Kα (λ = 1.5418 Å).
No peak broadening, texture or thermal motion is included.

a b c (Å): 9.0954 9.0954 9.0954
angles (deg): 148.14 137.08 54.43
Positions (direct):
Ce: 0.0000 0.0000 0.0000
Ce: 0.1514 0.4014 0.7500
Ce: 0.2220 0.2050 0.0170
Ce: 0.3119 0.7950 0.5170
Ce: 0.5000 0.0000 0.5000
Ce: 0.6881 0.2050 0.4830
Ce: 0.7780 0.7950 0.9830
Ce: 0.8486 0.5986 0.2500
Sn: 0.3561 0.6061 0.7500
Sn: 0.6439 0.3939 0.2500

Peak list (12 most intense, 2θ = 10–80°, by angle)
| d (Å) | 2θ (°) | Rel. int. |
| --- | --- | --- |
| 2.729 | 32.81 | 81 |
| 2.715 | 32.99 | 100 |
| 2.570 | 34.92 | 42 |
| 2.496 | 35.97 | 40 |
| 2.095 | 43.19 | 15 |
| 1.791 | 51.01 | 29 |
| 1.605 | 57.43 | 12 |
| 1.508 | 61.51 | 20 |
| 1.482 | 62.68 | 13 |
| 1.480 | 62.79 | 16 |
| 1.419 | 65.84 | 25 |
| 1.384 | 67.67 | 12 |



# 11
Starting from a crystal structure in Alexandria, relaxed with GGA-PBE, the powder diffraction line list of Na6PPt2 was computed for Cu Kα (λ = 1.5418 Å).
No peak broadening, texture or thermal motion is included.

a b c (Å): 9.6821 9.6821 9.6821
angles (deg): 30.41 30.41 30.41
Positions (direct):
Na: 0.0745 0.0745 0.0745
Na: 0.1961 0.1961 0.1961
Na: 0.3082 0.3082 0.3082
Na: 0.6918 0.6918 0.6918
Na: 0.8039 0.8039 0.8039
Na: 0.9255 0.9255 0.9255
P: 0.5000 0.5000 0.5000
Pt: 0.4188 0.4188 0.4188
Pt: 0.5812 0.5812 0.5812

Peak list (12 most intense, 2θ = 10–80°, by angle)
| d (Å) | 2θ (°) | Rel. int. |
| --- | --- | --- |
| 4.614 | 19.24 | 43 |
| 4.343 | 20.45 | 100 |
| 4.191 | 21.20 | 31 |
| 3.444 | 25.87 | 34 |
| 2.941 | 30.40 | 24 |
| 2.719 | 32.94 | 32 |
| 2.539 | 35.35 | 77 |
| 2.224 | 40.55 | 41 |
| 2.192 | 41.18 | 17 |
| 2.184 | 41.33 | 16 |
| 1.707 | 53.68 | 24 |
| 1.659 | 55.37 | 14 |



# 12
Starting from a crystal structure in Alexandria, relaxed with GGA-PBE, the powder diffraction line list of Pr2Al3Hg was computed for Cu Kα (λ = 1.5418 Å).
No peak broadening, texture or thermal motion is included.

a b c (Å): 9.3011 8.9483 6.0694
angles (deg): 73.75 67.46 38.79
Positions (direct):
Pr: 0.2475 0.7525 0.7525
Pr: 0.2500 0.2500 0.2500
Pr: 0.7500 0.7500 0.7500
Pr: 0.7525 0.2475 0.2475
Al: 0.1720 0.6634 0.3366
Al: 0.3362 0.3362 0.6638
Al: 0.3366 0.8280 0.1720
Al: 0.6634 0.1720 0.8280
Al: 0.6638 0.6638 0.3362
Al: 0.8280 0.3366 0.6634
Hg: 0.1670 0.1670 0.8330
Hg: 0.8330 0.8330 0.1670

Peak list (12 most intense, 2θ = 10–80°, by angle)
| d (Å) | 2θ (°) | Rel. int. |
| --- | --- | --- |
| 5.603 | 15.82 | 14 |
| 4.652 | 19.08 | 9 |
| 4.028 | 22.07 | 14 |
| 3.994 | 22.26 | 26 |
| 2.801 | 31.95 | 100 |
| 2.539 | 35.35 | 8 |
| 2.325 | 38.72 | 53 |
| 1.949 | 46.59 | 10 |
| 1.789 | 51.04 | 27 |
| 1.494 | 62.13 | 26 |
| 1.418 | 65.86 | 25 |
| 1.343 | 70.09 | 9 |